# 1
Computed powder diffractogram of LiCa2ZnPd6 for copper Kα, from a cell relaxed with GGA-PBE.
Intensities are scaled so that the largest is 100.

Atomic structure:
Cell: 9.127 9.098 6.215 Å, 90.00 132.69 90.00°
Space group C2/m (No. 12)
Inequivalent atoms, fractional coordinates:
Li 0.000 0.000 0.000
Ca 0.000 0.271 0.500
Zn 0.000 0.500 0.000
Pd 0.000 0.239 0.000
Pd 0.213 0.000 0.944
Pd 0.215 0.000 0.482

Main lines, in order of rising 2θ (15 to 90 degrees two-theta):
| Position (°2θ) | Rel. int. |
| --- | --- |
| 19.5 | 58 |
| 33.2 | 100 |
| 35.0 | 90 |
| 39.4 | 44 |
| 39.6 | 92 |
| 57.3 | 28 |

=====

# 2
Computed powder diffractogram of Li2Ca2PmSi2 for copper Kα, from a cell relaxed with GGA-PBE.
Intensities are scaled so that the largest is 100.

Atomic structure:
Cell: 4.4586 4.4586 30.6888 Å, 90.00 90.00 120.00°
Space group R-3m (No. 166, hexagonal axes)
Inequivalent atoms, fractional coordinates:
Li 0.0000 0.0000 0.1091
Ca 0.0000 0.0000 0.3826
Pm 0.0000 0.0000 0.5000
Si 0.0000 0.0000 0.2253

Main lines, in order of rising 2θ (15 to 90 degrees two-theta):
| Position (°2θ) | Rel. int. |
| --- | --- |
| 23.2 | 100 |
| 23.8 | 25 |
| 30.9 | 71 |
| 32.9 | 69 |
| 37.4 | 29 |
| 40.5 | 55 |